Record 1
Theoretical powder XRD pattern
Compound: NdSc2Au4
Radiation: λ = 1.5418 Å (Cu Kα)
Structure: the PBE geometry in Alexandria
Neutral-atom scattering factors, no anomalous dispersion.

Structure:
a = 4.859 Å, b = 4.859 Å, c = 6.830 Å
α = 90.00°, β = 90.00°, γ = 90.00°
Fractional positions:
Nd1 0.000 0.000 0.000
Sc1 0.000 0.000 0.500
Sc2 0.500 0.500 0.000
Au1 0.000 0.500 0.273
Au2 0.000 0.500 0.727
Au3 0.500 0.000 0.273
Au4 0.500 0.000 0.727

Principal peaks in the range 2θ from 10° to 80°, sorted by position:
d 3.436, I = 39; d 3.415, I = 17; d 3.069, I = 13; d 2.429, I = 54; d 2.422, I = 100; d 1.980, I = 16; d 1.718, I = 19; d 1.661, I = 7; d 1.536, I = 15; d 1.401, I = 36; d 1.397, I = 15; d 1.211, I = 9



Record 2
Theoretical powder XRD pattern
Compound: CsRuC2
Radiation: λ = 1.5418 Å (Cu Kα)
Structure: the PBE geometry in Alexandria
Neutral-atom scattering factors, no anomalous dispersion.

Structure:
a = 6.174 Å, b = 6.174 Å, c = 6.174 Å
α = 60.00°, β = 60.00°, γ = 60.00°
Fractional positions:
Cs1 0.125 0.125 0.125
Cs2 0.875 0.875 0.875
Ru1 0.375 0.375 0.375
Ru2 0.625 0.625 0.625
C1 0.000 0.500 0.500
C2 0.500 0.000 0.500
C3 0.500 0.500 0.000
C4 0.500 0.500 0.500

Principal peaks in the range 2θ from 10° to 80°, sorted by position:
d 3.087, I = 100; d 2.633, I = 2; d 2.183, I = 16; d 1.782, I = 40; d 1.680, I = 1; d 1.544, I = 14; d 1.381, I = 17; d 1.260, I = 4



Record 3
Theoretical powder XRD pattern
Compound: CsRb2AlBi2
Radiation: λ = 1.5418 Å (Cu Kα)
Structure: the PBE geometry in Alexandria
Neutral-atom scattering factors, no anomalous dispersion.

Structure:
a = 9.852 Å, b = 9.852 Å, c = 9.852 Å
α = 121.64°, β = 77.25°, γ = 134.12°
Fractional positions:
Cs1 0.250 0.250 0.000
Cs2 0.750 0.750 0.000
Rb1 0.178 0.678 0.856
Rb2 0.322 0.178 0.500
Rb3 0.678 0.822 0.500
Rb4 0.822 0.322 0.144
Al1 0.250 0.750 0.500
Al2 0.750 0.250 0.500
Bi1 0.089 0.326 0.415
Bi2 0.411 0.826 0.238
Bi3 0.589 0.174 0.762
Bi4 0.911 0.674 0.585

Principal peaks in the range 2θ from 10° to 80°, sorted by position:
d 7.697, I = 51; d 4.732, I = 52; d 3.841, I = 39; d 3.474, I = 54; d 3.239, I = 100; d 3.190, I = 65; d 3.135, I = 65; d 3.001, I = 76; d 2.718, I = 35; d 2.093, I = 28; d 2.081, I = 29; d 1.638, I = 31



Record 4
Theoretical powder XRD pattern
Compound: DySO4F2
Radiation: λ = 1.5418 Å (Cu Kα)
Structure: the PBE geometry in Alexandria
Neutral-atom scattering factors, no anomalous dispersion.

Structure:
a = 5.732 Å, b = 7.398 Å, c = 5.306 Å
α = 90.00°, β = 90.00°, γ = 90.00°
Fractional positions:
Dy1 0.000 0.122 0.000
Dy2 0.500 0.878 0.500
S1 0.000 0.577 0.632
S2 0.500 0.423 0.132
O1 0.000 0.403 0.762
O2 0.000 0.553 0.355
O3 0.209 0.687 0.703
O4 0.291 0.313 0.203
O5 0.500 0.447 0.855
O6 0.500 0.597 0.262
O7 0.709 0.313 0.203
O8 0.791 0.687 0.703
F1 0.243 0.946 0.213
F2 0.257 0.054 0.713
F3 0.743 0.054 0.713
F4 0.757 0.946 0.213

Principal peaks in the range 2θ from 10° to 80°, sorted by position:
d 7.398, I = 36; d 4.531, I = 34; d 4.312, I = 70; d 3.894, I = 51; d 3.446, I = 100; d 3.108, I = 60; d 3.034, I = 26; d 2.387, I = 24; d 2.290, I = 19; d 2.083, I = 38; d 2.018, I = 28; d 1.883, I = 20